No. 1
Structure and calculated X-ray powder pattern of NaPrHfTiO6 (a GGA-PBE-relaxed structure; Cu Kα, 1.54184 Å).
Peak positions follow from Bragg's law for the DFT cell and can differ from measured ones.

Crystal structure
```
NaPrHfTiO6
1.0
0.000 3.997 3.997
3.997 0.000 3.997
3.997 3.997 0.000
Na Pr Hf Ti O
1 1 1 1 6
direct
0.000 0.000 0.000
0.500 0.500 0.500
0.250 0.250 0.250
0.750 0.750 0.750
0.506 0.506 0.994
0.506 0.994 0.506
0.506 0.994 0.994
0.994 0.506 0.506
0.994 0.506 0.994
0.994 0.994 0.506
```

Principal peaks in the range 10 to 90 degrees two-theta, most intense first:
31.66°, I 100.0
19.23°, I 51.0
56.38°, I 39.5
45.38°, I 33.5
37.31°, I 31.1
66.12°, I 20.0
75.16°, I 17.0
49.71°, I 14.6

=====

No. 2
Structure and calculated X-ray powder pattern of NaTi2P3O12 (a GGA-PBE-relaxed structure; Cu Kα, 1.54184 Å).
Peak positions follow from Bragg's law for the DFT cell and can differ from measured ones.

Crystal structure
```
NaTi2P3O12
1.0
8.586 0.000 0.000
4.253 7.461 0.000
4.247 2.486 7.506
Na Ti P O
2 4 6 24
direct
0.249 0.415 0.167
0.751 0.585 0.833
0.150 0.643 0.568
0.346 0.865 0.938
0.654 0.135 0.062
0.850 0.357 0.432
0.034 0.250 0.747
0.247 0.033 0.251
0.465 0.532 0.751
0.535 0.468 0.249
0.753 0.967 0.749
0.966 0.750 0.253
0.008 0.283 0.575
0.083 0.413 0.723
0.090 0.221 0.277
0.155 0.740 0.097
0.191 0.058 0.793
0.217 0.867 0.420
0.243 0.008 0.093
0.278 0.591 0.722
0.367 0.498 0.419
0.438 0.049 0.205
0.461 0.689 0.795
0.485 0.348 0.910
0.515 0.652 0.090
0.539 0.311 0.205
0.562 0.951 0.795
0.633 0.502 0.581
0.722 0.409 0.278
0.757 0.992 0.907
0.783 0.133 0.580
0.809 0.942 0.207
0.845 0.260 0.903
0.910 0.779 0.723
0.917 0.587 0.277
0.992 0.717 0.425
```

Principal peaks in the range 10 to 90 degrees two-theta, most intense first:
14.26°, I 100.0
23.85°, I 90.4
28.75°, I 73.5
31.60°, I 52.3
19.74°, I 44.9
19.83°, I 43.7
23.75°, I 42.6
23.93°, I 30.4

=====

No. 3
Structure and calculated X-ray powder pattern of NdIO (a GGA-PBE-relaxed structure; Cu Kα, 1.54184 Å).
Peak positions follow from Bragg's law for the DFT cell and can differ from measured ones.

Crystal structure
```
NdIO
1.0
4.085 0.000 0.000
0.000 4.085 0.000
0.000 0.000 9.630
Nd I O
2 2 2
direct
0.250 0.250 0.121
0.750 0.750 0.879
0.250 0.250 0.677
0.750 0.750 0.323
0.250 0.750 0.000
0.750 0.250 0.000
```

Principal peaks in the range 10 to 90 degrees two-theta, most intense first:
28.66°, I 100.0
30.96°, I 43.9
53.66°, I 34.4
44.35°, I 20.7
35.57°, I 17.0
49.27°, I 13.6
57.51°, I 12.2
88.70°, I 8.6